Record 1
Diffraction record for Pm6HgAs2S3. The X-ray diffraction stick pattern is computed, not measured: it uses a crystal structure in Alexandria, relaxed with GGA-PBE and Cu Kα, 1.54184 Å.
Intensities are scaled so that the largest is 1000.

The 10 most intense peaks (15° ≤ 2θ ≤ 90°), sorted by position:
- 2θ = 25.12°, I = 66
- 2θ = 26.28°, I = 96
- 2θ = 30.32°, I = 1000
- 2θ = 43.10°, I = 121
- 2θ = 43.34°, I = 243
- 2θ = 43.51°, I = 245
- 2θ = 43.65°, I = 124
- 2θ = 54.10°, I = 130
- 2θ = 63.01°, I = 80
- 2θ = 79.94°, I = 81

Atomic structure:
```
Pm6HgAs2S3
1.0
9.0868 -2.0738 0.0000
9.0868 2.0738 0.0000
-1.9815 0.0000 8.1575
Pm Hg As S
6 1 2 3
direct
0.0020 0.0020 0.2302
0.3272 0.3272 0.4142
0.3327 0.3327 0.9175
0.6673 0.6673 0.0825
0.6728 0.6728 0.5858
0.9980 0.9980 0.7698
0.5000 0.5000 0.5000
0.1657 0.1657 0.8322
0.8343 0.8343 0.1678
0.1677 0.1677 0.3326
0.5000 0.5000 0.0000
0.8323 0.8323 0.6674
```

Record 2
Diffraction record for PrHgAs. The X-ray diffraction stick pattern is computed, not measured: it uses a crystal structure in Alexandria, relaxed with GGA-PBE and Cu Kα, 1.54184 Å.
Intensities are scaled so that the largest is 1000.

The 10 most intense peaks (15° ≤ 2θ ≤ 90°), sorted by position:
- 2θ = 21.55°, I = 451
- 2θ = 24.62°, I = 290
- 2θ = 26.70°, I = 521
- 2θ = 30.89°, I = 423
- 2θ = 35.77°, I = 1000
- 2θ = 47.97°, I = 754
- 2θ = 64.29°, I = 214
- 2θ = 73.01°, I = 218
- 2θ = 75.84°, I = 233
- 2θ = 84.06°, I = 153

Atomic structure:
```
PrHgAs
1.0
2.5100 1.4491 8.6851
-2.5100 1.4491 8.6851
0.0000 -2.8983 8.6851
Pr Hg As
2 2 2
direct
0.1042 0.1042 0.1042
0.8958 0.8958 0.8958
0.3264 0.3264 0.3264
0.6736 0.6736 0.6736
0.2161 0.2161 0.2161
0.7839 0.7839 0.7839
```

Record 3
Diffraction record for PuHgAs. The X-ray diffraction stick pattern is computed, not measured: it uses a crystal structure in Alexandria, relaxed with GGA-PBE and Cu Kα, 1.54184 Å.
Intensities are scaled so that the largest is 1000.

The 10 most intense peaks (15° ≤ 2θ ≤ 90°), sorted by position:
- 2θ = 20.24°, I = 265
- 2θ = 35.43°, I = 888
- 2θ = 35.68°, I = 1000
- 2θ = 51.16°, I = 366
- 2θ = 60.26°, I = 65
- 2θ = 63.61°, I = 167
- 2θ = 63.77°, I = 383
- 2θ = 71.89°, I = 234
- 2θ = 74.97°, I = 105
- 2θ = 85.89°, I = 177

Atomic structure:
```
PuHgAs
1.0
5.0674 0.0000 0.0000
-2.5337 4.3885 0.0000
0.0000 0.0000 3.0715
Pu Hg As
1 1 1
direct
0.0000 0.0000 0.0000
0.6667 0.3333 0.5011
0.3333 0.6667 0.4987
```